Starting from a structure optimized by DFT (PBE+U), the powder XRD pattern of Li3Fe2F7 was simulated for λ = 1.5418 Å (Cu Kα).
Neutral-atom scattering factors, no anomalous dispersion.

Most intense lines, 5° ≤ 2θ ≤ 70°, sorted by position:
d = 5.284 Å, rel. 49; d = 4.354 Å, rel. 100; d = 3.995 Å, rel. 47; d = 2.924 Å, rel. 35; d = 2.345 Å, rel. 33; d = 1.815 Å, rel. 40

Structural model:
Cell: 5.978 5.978 9.974 Å, 100.00 100.00 51.48°
Sites, in units of the cell vectors:
Li 0.000 0.500 0.500
Li 0.180 0.679 0.840
Li 0.321 0.820 0.660
Li 0.500 0.000 0.000
Li 0.679 0.180 0.340
Li 0.820 0.321 0.160
Fe 0.079 0.592 0.154
Fe 0.408 0.921 0.346
Fe 0.592 0.079 0.654
Fe 0.921 0.408 0.846
F 0.009 0.813 0.625
F 0.168 0.258 0.672
F 0.187 0.991 0.875
F 0.258 0.168 0.172
F 0.259 0.421 0.963
F 0.421 0.259 0.463
F 0.443 0.557 0.250
F 0.557 0.443 0.750
F 0.579 0.741 0.537
F 0.741 0.579 0.037
F 0.742 0.832 0.828
F 0.813 0.009 0.125
F 0.832 0.742 0.328
F 0.991 0.187 0.375